This entry pairs a crystal structure of MgCu2P2O7 with its calculated PXRD pattern. Radiation: CuKα. Structure: a cell relaxed with GGA-PBE.
Peak positions follow from Bragg's law for the DFT cell and can differ from measured ones.

Main lines, low angle first (10° ≤ 2θ ≤ 90°):
h k l	2theta	d_spacing	I (rel.)
1 1 -1	18.93	4.689	24
2 0 -1	23.79	3.741	85
0 2 1	27.93	3.195	100
1 1 1	29.88	2.991	24
2 2 0	35.49	2.529	47
0 0 2	35.68	2.516	12
2 2 -2	38.39	2.345	39
1 3 -2	45.10	2.010	24
1 3 2	56.75	1.622	16
2 0 2	57.48	1.603	16

Structure:
```
data_MgCu2P2O7
_chemical_formula_sum 'Mg2 Cu4 P4 O14'
_symmetry_space_group_name_H-M 'C 1 2 1'
_symmetry_Int_Tables_number 5
_cell_length_a 7.5349
_cell_length_b 8.2818
_cell_length_c 5.9446
_cell_angle_alpha 90.00
_cell_angle_beta 122.16
_cell_angle_gamma 90.00
loop_
_symmetry_equiv_pos_as_xyz
'x,y,z'
'-x,y,-z'
'x+1/2,y+1/2,z'
'-x+1/2,y+1/2,-z'
loop_
_atom_site_label
_atom_site_type_symbol
_atom_site_fract_x
_atom_site_fract_y
_atom_site_fract_z
_atom_site_occupancy
Mg1 Mg 0.0000 0.0000 0.0000 1
Cu1 Cu 0.0000 0.3542 0.5000 1
Cu2 Cu 0.0000 0.9670 0.5000 1
P1 P 0.1597 0.6589 0.9338 1
O1 O 0.0000 0.5688 0.0000 1
O2 O 0.0591 0.8222 0.8113 1
O3 O 0.1213 0.1691 0.8031 1
O4 O 0.1892 0.5469 0.7512 1
```